# 1
Starting from a cell relaxed with GGA-PBE, the PXRD pattern of Ba2Cd5Hg12 was calculated for Cu Ka.
No peak broadening, texture or thermal motion is included.

Crystal structure
a = 8.121 Å, b = 8.121 Å, c = 8.121 Å
α = 79.27°, β = 79.27°, γ = 79.27°
Fractional positions:
Ba (0.169, 0.169, 0.169)
Ba (0.831, 0.831, 0.831)
Cd (0.000, 0.500, 0.500)
Cd (0.402, 0.402, 0.402)
Cd (0.500, 0.000, 0.500)
Cd (0.500, 0.500, 0.000)
Cd (0.598, 0.598, 0.598)
Hg (0.136, 0.136, 0.651)
Hg (0.136, 0.651, 0.136)
Hg (0.207, 0.500, 0.793)
Hg (0.207, 0.793, 0.500)
Hg (0.349, 0.864, 0.864)
Hg (0.500, 0.207, 0.793)
Hg (0.500, 0.793, 0.207)
Hg (0.651, 0.136, 0.136)
Hg (0.793, 0.207, 0.500)
Hg (0.793, 0.500, 0.207)
Hg (0.864, 0.349, 0.864)
Hg (0.864, 0.864, 0.349)

Principal peaks in the range 5° ≤ 2θ ≤ 70°, sorted by position:
2theta	intensity
17.1	31
29.4	48
29.9	23
32.6	36
33.7	34
34.1	100
34.6	41
37.1	20
38.4	77
62.1	21


# 2
Starting from a cell relaxed with GGA-PBE, the PXRD pattern of BaCd6Hg6 was calculated for Cu Ka.
No peak broadening, texture or thermal motion is included.

Crystal structure
a = 7.966 Å, b = 7.966 Å, c = 7.966 Å
α = 134.37°, β = 99.36°, γ = 97.94°
Fractional positions:
Ba (0.000, 0.000, 0.000)
Cd (0.000, 0.000, 0.500)
Cd (0.000, 0.500, 0.000)
Cd (0.242, 0.500, 0.742)
Cd (0.500, 0.000, 0.000)
Cd (0.500, 0.500, 0.500)
Cd (0.758, 0.500, 0.258)
Hg (0.188, 0.688, 0.500)
Hg (0.345, 0.345, 0.000)
Hg (0.354, 0.000, 0.354)
Hg (0.646, 0.000, 0.646)
Hg (0.655, 0.655, 0.000)
Hg (0.812, 0.312, 0.500)

Principal peaks in the range 5° ≤ 2θ ≤ 70°, sorted by position:
2theta	intensity
28.9	38
29.4	67
33.8	47
34.3	100
34.4	36
34.8	31
38.1	72
38.8	38
59.9	26
62.1	28


# 3
Starting from a cell relaxed with GGA-PBE, the PXRD pattern of Ba3Cd2Hg2 was calculated for Cu Ka.
No peak broadening, texture or thermal motion is included.

Crystal structure
a = 13.242 Å, b = 13.242 Å, c = 4.310 Å
α = 90.00°, β = 90.00°, γ = 159.95°
Fractional positions:
Ba (0.000, 0.000, 0.000)
Ba (0.158, 0.842, 0.000)
Ba (0.842, 0.158, 0.000)
Cd (0.420, 0.580, 0.500)
Cd (0.580, 0.420, 0.500)
Hg (0.286, 0.714, 0.500)
Hg (0.714, 0.286, 0.500)

Principal peaks in the range 5° ≤ 2θ ≤ 70°, sorted by position:
2theta	intensity
6.8	65
28.6	86
29.2	62
30.2	30
30.9	100
33.2	25
39.1	30
41.9	25
49.5	28
53.0	45